1.
Starting from a cell relaxed with GGA-PBE, the PXRD pattern of Pr5NdAl6 was calculated for a wavelength of 1.5418 Å.
Lines closer than 0.1° are merged.

Top 10 peaks for 2θ from 10° to 80°, in order of falling intensity:
two_theta	Rel. int.	index
33.78	100	1 3 1
23.71	56	2 0 0
60.42	34	4 6 0
54.69	24	3 3 1
48.52	18	4 0 0
41.69	17	2 6 0
71.05	11	2 6 2
76.12	9	6 0 0
60.48	3	6 0 -2
76.02	2	1 3 3

```
data_Pr5NdAl6
_chemical_formula_sum 'Pr10 Nd2 Al12'
_cell_length_a 9.184
_cell_length_b 15.918
_cell_length_c 5.308
_cell_angle_alpha 90.00
_cell_angle_beta 125.21
_cell_angle_gamma 90.00
_symmetry_space_group_name_H-M 'C 1 2/m 1'
_symmetry_Int_Tables_number 12
_symmetry_space_group_name_Hall '-C 2y'
loop_
_atom_site_label
_atom_site_fract_x
_atom_site_fract_y
_atom_site_fract_z
Pr1 0.000 0.000 0.000
Pr2 0.000 0.166 0.500
Pr3 0.000 0.332 0.000
Nd1 0.000 0.500 0.500
Al1 0.247 0.500 0.247
Al2 0.248 0.334 0.748
```


2.
Starting from a cell relaxed with GGA-PBE, the PXRD pattern of Nd3Al2Pt6 was calculated for a wavelength of 1.5418 Å.
Lines closer than 0.1° are merged.

Top 10 peaks for 2θ from 10° to 80°, in order of falling intensity:
two_theta	Rel. int.	index
39.66	100	3 3 0
34.82	30	3 2 1
71.97	27	6 3 3
12.99	26	1 1 0
26.14	19	2 2 0
59.06	16	5 3 2
57.34	14	6 0 0
29.29	14	3 1 0
37.31	10	4 0 0
55.58	8	4 3 3

```
data_Nd3Al2Pt6
_chemical_formula_sum 'Nd12 Al8 Pt24'
_cell_length_a 9.641
_cell_length_b 9.641
_cell_length_c 9.641
_cell_angle_alpha 90.00
_cell_angle_beta 90.00
_cell_angle_gamma 90.00
_symmetry_space_group_name_H-M 'I m -3 m'
_symmetry_Int_Tables_number 229
_symmetry_space_group_name_Hall '-I 4 2 3'
loop_
_atom_site_label
_atom_site_fract_x
_atom_site_fract_y
_atom_site_fract_z
Nd1 0.000 0.000 0.297
Al1 0.250 0.250 0.250
Pt1 0.000 0.321 0.321
```